NaMg6MnO8: simulated XRD peak list (copper Kα), based on the GGA+U geometry in Alexandria.
Kinematic intensities with the Lorentz-polarization factor, no thermal factor.

Atomic structure:
Unit cell a=4.294 b=4.294 c=8.586 alpha=90.00 beta=90.00 gamma=90.00
Space group P4/mmm (No. 123)
Symmetry-distinct sites (fractional):
1 Na 0.000 0.000 0.000 [1 per cell]
2 Mg 0.000 0.000 0.500 [1 per cell]
3 Mg 0.000 0.500 0.249 [4 per cell]
4 Mg 0.500 0.500 0.500 [1 per cell]
5 Mn 0.500 0.500 0.000 [1 per cell]
6 O 0.000 0.000 0.265 [2 per cell]
7 O 0.000 0.500 0.000 [2 per cell]
8 O 0.000 0.500 0.500 [2 per cell]
9 O 0.500 0.500 0.239 [2 per cell]

Peak list (10 most intense, 2θ from 5° to 70°, in order of rising 2θ)
d_spacing  I (rel.)  (hkl)
8.586  66  0 0 1
4.294  51  1 0 0
3.840  75  1 0 1
3.036  40  1 0 2
2.862  23  0 0 3
2.479  171  1 1 2
2.147  1000  2 0 0
2.083  18  1 1 3
1.920  20  1 0 4
1.518  559  2 2 0